# 1
For BaSrCeNbO6, the PBE geometry in the Materials Project gives the theoretical powder XRD pattern in this record (CuKα).
Lines closer than 0.1° are merged.

Main lines, by angle (2θ from 15° to 90°):
- 2θ 29.44, rel. 100
- 2θ 42.12, rel. 29
- 2θ 52.22, rel. 44
- 2θ 61.09, rel. 17
- 2θ 69.20, rel. 9
- 2θ 84.47, rel. 15

Structural model:
```
BaSrCeNbO6
1.0
8.5734 0.0000 0.0000
0.0000 8.5782 0.0000
0.0000 0.0000 8.5911
Ba Sr Ce Nb O
4 4 4 4 24
Direct
0.0000 0.0000 0.0000
0.0000 0.0000 0.5000
0.0000 0.5000 0.0000
0.5000 0.5000 0.0000
0.0000 0.5000 0.5000
0.5000 0.0000 0.0000
0.5000 0.0000 0.5000
0.5000 0.5000 0.5000
0.2522 0.2496 0.7481
0.2522 0.7504 0.2519
0.7478 0.2496 0.2519
0.7478 0.7504 0.7481
0.2523 0.2509 0.2533
0.2523 0.7491 0.7467
0.7477 0.2509 0.7467
0.7477 0.7491 0.2533
0.0172 0.2198 0.2244
0.0172 0.7802 0.7756
0.2119 0.2850 0.4857
0.2119 0.7150 0.5143
0.2259 0.4846 0.2184
0.2259 0.5154 0.7816
0.2859 0.0166 0.2904
0.2859 0.9834 0.7096
0.2891 0.2165 0.0179
0.2891 0.7835 0.9821
0.4852 0.2878 0.2890
0.4852 0.7122 0.7110
0.5148 0.2878 0.7110
0.5148 0.7122 0.2890
0.7109 0.2165 0.9821
0.7109 0.7835 0.0179
0.7141 0.0166 0.7096
0.7141 0.9834 0.2904
0.7741 0.4846 0.7816
0.7741 0.5154 0.2184
0.7881 0.2850 0.5143
0.7881 0.7150 0.4857
0.9828 0.2198 0.7756
0.9828 0.7802 0.2244
```

# 2
For BaCeO3, the PBE geometry in the Materials Project gives the theoretical powder XRD pattern in this record (CuKα).
Lines closer than 0.1° are merged.

Main lines, by angle (2θ from 15° to 90°):
- 2θ 28.21, rel. 100
- 2θ 40.32, rel. 30
- 2θ 49.93, rel. 42
- 2θ 58.33, rel. 19
- 2θ 66.03, rel. 18
- 2θ 80.29, rel. 22

Structural model:
```
BaCeO3
1.0
4.4742 0.0000 0.0000
0.0000 4.4742 0.0000
0.0000 0.0000 4.4742
Ba Ce O
1 1 3
Direct
0.0000 0.0000 0.0000
0.5000 0.5000 0.5000
0.0000 0.5000 0.5000
0.5000 0.0000 0.5000
0.5000 0.5000 0.0000
```

# 3
For BaCeO3, the PBE geometry in the Materials Project gives the theoretical powder XRD pattern in this record (CuKα).
Lines closer than 0.1° are merged.

Main lines, by angle (2θ from 15° to 90°):
- 2θ 28.27, rel. 98
- 2θ 28.53, rel. 100
- 2θ 40.59, rel. 55
- 2θ 50.04, rel. 24
- 2θ 50.20, rel. 44
- 2θ 50.68, rel. 21

Structural model:
```
BaCeO3
1.0
3.1574 1.8229 5.0869
-3.1574 1.8229 5.0869
0.0000 -3.6458 5.0869
Ba Ce O
2 2 6
Direct
0.2500 0.2500 0.2500
0.7500 0.7500 0.7500
0.0000 0.0000 0.0000
0.5000 0.5000 0.5000
0.1818 0.7500 0.3182
0.2500 0.6818 0.8182
0.3182 0.1818 0.7500
0.6818 0.8182 0.2500
0.7500 0.3182 0.1818
0.8182 0.2500 0.6818
```